Starting from a crystal structure in Alexandria, relaxed with PBE+U, the powder XRD pattern of NaVP2O7 was calculated for Cu Kα, 1.54184 Å.

Atomic structure:
Cell lengths 4.9061, 8.3210, 7.1758 Å; angles 90.00, 106.85, 90.00 degrees
Fractional coordinates of all 22 atoms:
1 Na 0.2214 0.0000 0.2379
2 Na 0.7786 0.5000 0.7621
3 V 0.2213 0.5820 0.2325
4 V 0.7787 0.0820 0.7675
5 P 0.2298 0.8486 0.6154
6 P 0.3846 0.2779 0.9941
7 P 0.6154 0.7779 0.0059
8 P 0.7702 0.3486 0.3846
9 O 0.0289 0.3931 0.3183
10 O 0.1518 0.7471 0.4321
11 O 0.1578 0.1465 0.9537
12 O 0.2656 0.4471 0.9964
13 O 0.4063 0.9970 0.5914
14 O 0.4163 0.7687 0.1355
15 O 0.4314 0.7329 0.7829
16 O 0.5686 0.2329 0.2171
17 O 0.5837 0.2687 0.8645
18 O 0.5937 0.4970 0.4086
19 O 0.7344 0.9471 0.0036
20 O 0.8422 0.6465 0.0463
21 O 0.8482 0.2471 0.5679
22 O 0.9711 0.8931 0.6817

Peak list (8 most intense, 15 to 90 degrees two-theta, low angle first)
2θ 16.7, d = 5.297 Å, I = 71
2θ 21.7, d = 4.089 Å, I = 22
2θ 22.3, d = 3.983 Å, I = 51
2θ 25.9, d = 3.439 Å, I = 31
2θ 28.1, d = 3.177 Å, I = 59
2θ 29.1, d = 3.066 Å, I = 100
2θ 33.8, d = 2.649 Å, I = 24
2θ 42.8, d = 2.112 Å, I = 21